# 1
Rb3CdF5: theoretical X-ray powder pattern (CuKα), based on the GGA-PBE geometry in Alexandria.

Cell: 8.6203 8.6203 8.6203 Å, 127.53 127.53 77.39°
Positions (direct):
Rb: 0.1757 0.6757 0.8514
Rb: 0.2500 0.2500 0.0000
Rb: 0.3243 0.1757 0.5000
Rb: 0.6757 0.8243 0.5000
Rb: 0.7500 0.7500 0.0000
Rb: 0.8243 0.3243 0.1486
Cd: 0.2500 0.7500 0.5000
Cd: 0.7500 0.2500 0.5000
F: 0.0000 0.0000 0.0000
F: 0.0035 0.1965 0.5000
F: 0.1965 0.6965 0.1929
F: 0.3035 0.4965 0.5000
F: 0.4965 0.9965 0.1929
F: 0.5000 0.5000 0.0000
F: 0.5035 0.0035 0.8071
F: 0.6965 0.5035 0.5000
F: 0.8035 0.3035 0.8071
F: 0.9965 0.8035 0.5000

The 10 most intense peaks (2θ from 10° to 80°), most intense first:
2θ (°), d [Å], I_rel
26.91, 3.314, 100
33.01, 2.714, 43
26.50, 3.364, 31
33.25, 2.694, 27
43.01, 2.103, 23
47.01, 1.933, 22
49.76, 1.832, 15
60.94, 1.520, 11
53.79, 1.704, 11
53.63, 1.709, 11

# 2
Rb2CdF3: theoretical X-ray powder pattern (CuKα), based on the GGA-PBE geometry in Alexandria.

Cell: 6.9045 6.9045 7.5269 Å, 105.81 105.81 51.01°
Positions (direct):
Rb: 0.1636 0.1660 0.0827
Rb: 0.1660 0.1636 0.5827
Rb: 0.8340 0.8364 0.4173
Rb: 0.8364 0.8340 0.9173
Cd: 0.4887 0.5113 0.2500
Cd: 0.5113 0.4887 0.7500
F: 0.0992 0.9008 0.2500
F: 0.3460 0.3494 0.4240
F: 0.3494 0.3460 0.9240
F: 0.6506 0.6540 0.0760
F: 0.6540 0.6506 0.5760
F: 0.9008 0.0992 0.7500

The 10 most intense peaks (2θ from 10° to 80°), most intense first:
2θ (°), d [Å], I_rel
32.83, 2.728, 100
27.05, 3.296, 74
45.10, 2.010, 73
28.06, 3.180, 67
30.06, 2.973, 59
54.59, 1.681, 23
56.30, 1.634, 20
45.82, 1.980, 18
55.78, 1.648, 18
58.01, 1.590, 17

# 3
Rb3CdF4: theoretical X-ray powder pattern (CuKα), based on the GGA-PBE geometry in Alexandria.

Cell: 6.0426 6.0426 6.0426 Å, 109.47 109.47 109.47°
Positions (direct):
Rb: 0.0000 0.5000 0.5000
Rb: 0.5000 0.0000 0.5000
Rb: 0.5000 0.5000 0.0000
Cd: 0.0000 0.0000 0.0000
F: 0.0000 0.0000 0.4100
F: 0.0000 0.4100 0.0000
F: 0.4100 0.0000 0.0000
F: 0.5900 0.5900 0.5900

The 10 most intense peaks (2θ from 10° to 80°), most intense first:
2θ (°), d [Å], I_rel
36.42, 2.467, 100
25.53, 3.489, 64
59.22, 1.560, 31
65.54, 1.424, 29
45.01, 2.014, 21
52.46, 1.744, 15
77.37, 1.233, 9
17.98, 4.934, 4
31.40, 2.848, 3
48.84, 1.865, 2

# 4
Rb2TmCd3F12: theoretical X-ray powder pattern (CuKα), based on the GGA-PBE geometry in Alexandria.

Cell: 8.1694 8.1694 8.1694 Å, 58.15 58.15 58.15°
Positions (direct):
Rb: 0.1044 0.1044 0.1044
Rb: 0.8956 0.8956 0.8956
Tm: 0.5000 0.5000 0.5000
Cd: 0.0000 0.5000 0.5000
Cd: 0.5000 0.0000 0.5000
Cd: 0.5000 0.5000 0.0000
F: 0.1682 0.1682 0.5890
F: 0.1682 0.5890 0.1682
F: 0.1827 0.5706 0.5706
F: 0.4110 0.8318 0.8318
F: 0.4294 0.4294 0.8173
F: 0.4294 0.8173 0.4294
F: 0.5706 0.1827 0.5706
F: 0.5706 0.5706 0.1827
F: 0.5890 0.1682 0.1682
F: 0.8173 0.4294 0.4294
F: 0.8318 0.4110 0.8318
F: 0.8318 0.8318 0.4110

The 10 most intense peaks (2θ from 10° to 80°), most intense first:
2θ (°), d [Å], I_rel
27.39, 3.256, 100
26.03, 3.424, 99
25.49, 3.494, 81
13.60, 6.512, 64
26.31, 3.387, 54
45.71, 1.985, 52
44.39, 2.041, 45
41.60, 2.171, 31
41.25, 2.188, 30
53.06, 1.726, 25

# 5
Rb2YCdF6: theoretical X-ray powder pattern (CuKα), based on the GGA-PBE geometry in Alexandria.

Cell: 6.6153 9.3742 6.7365 Å, 90.00 90.00 90.00°
Positions (direct):
Rb: 0.2500 0.0063 0.2309
Rb: 0.2500 0.4937 0.2309
Rb: 0.7500 0.5063 0.7691
Rb: 0.7500 0.9937 0.7691
Y: 0.2500 0.7500 0.7626
Y: 0.7500 0.2500 0.2374
Cd: 0.2500 0.2500 0.7369
Cd: 0.7500 0.7500 0.2631
F: 0.0134 0.7500 0.5372
F: 0.0145 0.7500 0.9933
F: 0.2500 0.5169 0.7843
F: 0.2500 0.9831 0.7843
F: 0.4855 0.7500 0.9933
F: 0.4866 0.7500 0.5372
F: 0.5134 0.2500 0.4628
F: 0.5145 0.2500 0.0067
F: 0.7500 0.0169 0.2157
F: 0.7500 0.4831 0.2157
F: 0.9855 0.2500 0.0067
F: 0.9866 0.2500 0.4628

The 10 most intense peaks (2θ from 10° to 80°), most intense first:
2θ (°), d [Å], I_rel
26.81, 3.326, 100
38.13, 2.360, 39
47.53, 1.913, 30
26.96, 3.308, 25
26.46, 3.368, 25
55.24, 1.663, 24
46.92, 1.936, 20
38.41, 2.344, 20
62.61, 1.484, 14
47.25, 1.924, 10

# 6
Rb3Zn2CdF9: theoretical X-ray powder pattern (CuKα), based on the GGA-PBE geometry in Alexandria.

Cell: 6.0555 6.0555 7.4371 Å, 90.00 90.00 120.00°
Positions (direct):
Rb: 0.0000 0.0000 0.0000
Rb: 0.3333 0.6667 0.6691
Rb: 0.6667 0.3333 0.3309
Zn: 0.3333 0.6667 0.1573
Zn: 0.6667 0.3333 0.8427
Cd: 0.0000 0.0000 0.5000
F: 0.0000 0.5000 0.0000
F: 0.1740 0.3479 0.3215
F: 0.1740 0.8260 0.3215
F: 0.3479 0.1740 0.6785
F: 0.5000 0.0000 0.0000
F: 0.5000 0.5000 0.0000
F: 0.6521 0.8260 0.3215
F: 0.8260 0.1740 0.6785
F: 0.8260 0.6521 0.6785

The 10 most intense peaks (2θ from 10° to 80°), most intense first:
2θ (°), d [Å], I_rel
29.47, 3.031, 100
42.17, 2.143, 42
52.31, 1.749, 30
69.34, 1.355, 17
61.23, 1.514, 12
61.10, 1.517, 12
52.20, 1.752, 10
36.31, 2.474, 6
77.14, 1.236, 6
20.73, 4.286, 3

# 7
RbZrCdF7: theoretical X-ray powder pattern (CuKα), based on the GGA-PBE geometry in Alexandria.

Cell: 6.6387 6.6387 8.6616 Å, 90.00 90.00 117.04°
Positions (direct):
Rb: 0.0000 0.0000 0.0000
Rb: 0.0000 0.0000 0.5000
Zr: 0.3071 0.6929 0.7500
Zr: 0.6929 0.3071 0.2500
Cd: 0.3086 0.6914 0.2500
Cd: 0.6914 0.3086 0.7500
F: 0.0247 0.3288 0.2500
F: 0.0630 0.3469 0.7500
F: 0.2979 0.7021 0.5137
F: 0.2979 0.7021 0.9863
F: 0.3288 0.0247 0.7500
F: 0.3469 0.0630 0.2500
F: 0.4898 0.5102 0.7500
F: 0.5102 0.4898 0.2500
F: 0.6531 0.9370 0.7500
F: 0.6712 0.9753 0.2500
F: 0.7021 0.2979 0.0137
F: 0.7021 0.2979 0.4863
F: 0.9370 0.6531 0.2500
F: 0.9753 0.6712 0.7500

The 10 most intense peaks (2θ from 10° to 80°), most intense first:
2θ (°), d [Å], I_rel
26.89, 3.315, 100
25.49, 3.494, 80
25.70, 3.467, 76
25.90, 3.440, 75
20.51, 4.331, 51
47.15, 1.928, 47
41.71, 2.165, 42
36.81, 2.442, 41
46.05, 1.971, 40
50.33, 1.813, 34

# 8
Cd4SF6: theoretical X-ray powder pattern (CuKα), based on the GGA-PBE geometry in Alexandria.

Cell: 12.7998 12.7998 12.7998 Å, 17.53 17.53 17.53°
Positions (direct):
Cd: 0.1260 0.1260 0.1260
Cd: 0.2917 0.2917 0.2917
Cd: 0.7083 0.7083 0.7083
Cd: 0.8740 0.8740 0.8740
S: 0.5000 0.5000 0.5000
F: 0.0630 0.0630 0.0630
F: 0.2296 0.2296 0.2296
F: 0.3543 0.3543 0.3543
F: 0.6457 0.6457 0.6457
F: 0.7704 0.7704 0.7704
F: 0.9370 0.9370 0.9370

The 10 most intense peaks (2θ from 10° to 80°), most intense first:
2θ (°), d [Å], I_rel
28.95, 3.084, 100
46.57, 1.950, 60
28.33, 3.150, 39
55.41, 1.658, 35
31.23, 2.864, 31
26.81, 3.325, 27
49.05, 1.857, 26
42.88, 2.109, 22
53.45, 1.714, 22
55.77, 1.648, 16